# 1
Theoretical X-ray diffraction stick pattern
Compound: InCuSn
Radiation: Cu Kα X-rays
Structure: a crystal structure in Alexandria, relaxed with PBE

Main lines, sorted by position (5 to 70 degrees two-theta):
- (1 1 0), 29.59 deg, 3.019 Å, I = 68
- (1 0 -1), 30.58 deg, 2.923 Å, I = 75
- (1 0 2), 31.55 deg, 2.835 Å, I = 100
- (-1 1 1), 32.50 deg, 2.755 Å, I = 99
- (1 1 2), 32.64 deg, 2.744 Å, I = 83
- (0 2 0), 35.55 deg, 2.526 Å, I = 74
- (-1 2 1), 42.88 deg, 2.109 Å, I = 64
- (2 0 1), 43.87 deg, 2.064 Å, I = 90

Atomic structure:
```
data_InCuSn
_cell_length_a 4.1309
_cell_length_b 5.2631
_cell_length_c 6.5633
_cell_angle_alpha 74.04
_cell_angle_beta 72.94
_cell_angle_gamma 88.56
_symmetry_space_group_name_H-M 'P 1'
_symmetry_Int_Tables_number 1
loop_
_symmetry_equiv_pos_as_xyz
'x,y,z'
loop_
_atom_site_label
_atom_site_type_symbol
_atom_site_fract_x
_atom_site_fract_y
_atom_site_fract_z
_atom_site_occupancy
In1 In 0.0000 0.0000 0.0000 1
In2 In 0.4327 0.4819 0.1716 1
Cu1 Cu 0.0725 0.5350 0.8612 1
Cu2 Cu 0.6181 0.8320 0.7444 1
Sn1 Sn 0.2536 0.9005 0.4438 1
Sn2 Sn 0.6836 0.3671 0.6137 1
```

***

# 2
Theoretical X-ray diffraction stick pattern
Compound: Y3Tm5Se8
Radiation: Cu Kα X-rays
Structure: a crystal structure in Alexandria, relaxed with PBE

Main lines, sorted by position (5 to 70 degrees two-theta):
- (0 0 3), 13.38 deg, 6.616 Å, I = 6
- (2 0 2), 27.03 deg, 3.299 Å, I = 10
- (0 2 4), 31.28 deg, 2.859 Å, I = 100
- (2 0 8), 44.76 deg, 2.025 Å, I = 37
- (2 2 0), 44.89 deg, 2.019 Å, I = 37
- (0 0 12), 55.51 deg, 1.656 Å, I = 6
- (4 0 4), 55.73 deg, 1.649 Å, I = 19
- (0 4 8), 65.26 deg, 1.430 Å, I = 12

Atomic structure:
```
data_Y3Tm5Se8
_cell_length_a 8.0764
_cell_length_b 8.0764
_cell_length_c 19.8665
_cell_angle_alpha 90.00
_cell_angle_beta 90.00
_cell_angle_gamma 120.00
_symmetry_space_group_name_H-M 'R -3 m'
_symmetry_Int_Tables_number 166
_symmetry_space_group_name_Hall '-R 3 2"'
loop_
_atom_site_label
_atom_site_type_symbol
_atom_site_fract_x
_atom_site_fract_y
_atom_site_fract_z
_atom_site_occupancy
Y1 Y 0.0000 0.5000 0.0000 1
Tm1 Tm 0.0000 0.0000 0.0000 1
Tm2 Tm 0.0000 0.0000 0.5000 1
Tm3 Tm 0.0000 0.5000 0.5000 1
Se1 Se 0.0000 0.0000 0.2475 1
Se2 Se 0.0032 0.5016 0.7516 1
```

***

# 3
Theoretical X-ray diffraction stick pattern
Compound: Tl2Cu2Pd5
Radiation: Cu Kα X-rays
Structure: a crystal structure in Alexandria, relaxed with PBE

Main lines, sorted by position (5 to 70 degrees two-theta):
- (0 0 1), 15.01 deg, 5.901 Å, I = 13
- (3 1 -2), 38.19 deg, 2.357 Å, I = 100
- (3 1 1), 38.96 deg, 2.312 Å, I = 93
- (0 2 0), 43.71 deg, 2.071 Å, I = 35
- (6 0 -1), 44.64 deg, 2.030 Å, I = 29
- (0 0 3), 46.15 deg, 1.967 Å, I = 28
- (6 2 -1), 64.25 deg, 1.450 Å, I = 20
- (0 2 3), 65.44 deg, 1.426 Å, I = 20

Atomic structure:
```
data_Tl2Cu2Pd5
_cell_length_a 12.1854
_cell_length_b 4.1420
_cell_length_c 6.2968
_cell_angle_alpha 90.00
_cell_angle_beta 110.42
_cell_angle_gamma 90.00
_symmetry_space_group_name_H-M 'C 1 2/m 1'
_symmetry_Int_Tables_number 12
loop_
_symmetry_equiv_pos_as_xyz
'x,y,z'
'-x,-y,-z'
'-x,y,-z'
'x,-y,z'
'x+1/2,y+1/2,z'
'-x+1/2,-y+1/2,-z'
'-x+1/2,y+1/2,-z'
'x+1/2,-y+1/2,z'
loop_
_atom_site_label
_atom_site_type_symbol
_atom_site_fract_x
_atom_site_fract_y
_atom_site_fract_z
_atom_site_occupancy
Tl1 Tl 0.1527 0.0000 0.4965 1
Cu1 Cu 0.2178 0.5000 0.8580 1
Pd1 Pd 0.0000 0.5000 0.5000 1
Pd2 Pd 0.0664 0.0000 0.8552 1
Pd3 Pd 0.1179 0.5000 0.1692 1
```

***

# 4
Theoretical X-ray diffraction stick pattern
Compound: CaB12Pb
Radiation: Cu Kα X-rays
Structure: a crystal structure in Alexandria, relaxed with PBE

Main lines, sorted by position (5 to 70 degrees two-theta):
- (1 1 1), 18.34 deg, 4.837 Å, I = 80
- (2 0 0), 21.21 deg, 4.189 Å, I = 55
- (2 2 0), 30.17 deg, 2.962 Å, I = 100
- (3 1 1), 35.54 deg, 2.526 Å, I = 50
- (2 2 2), 37.18 deg, 2.418 Å, I = 42
- (4 2 0), 48.60 deg, 1.873 Å, I = 49
- (4 2 2), 53.59 deg, 1.710 Å, I = 26
- (4 4 2), 67.03 deg, 1.396 Å, I = 29

Atomic structure:
```
data_CaB12Pb
_cell_length_a 8.3773
_cell_length_b 8.3773
_cell_length_c 8.3773
_cell_angle_alpha 90.00
_cell_angle_beta 90.00
_cell_angle_gamma 90.00
_symmetry_space_group_name_H-M 'F m -3 m'
_symmetry_Int_Tables_number 225
_symmetry_space_group_name_Hall '-F 4 2 3'
loop_
_atom_site_label
_atom_site_type_symbol
_atom_site_fract_x
_atom_site_fract_y
_atom_site_fract_z
_atom_site_occupancy
Ca1 Ca 0.0000 0.0000 0.0000 1
B1 B 0.1013 0.2500 0.2500 1
Pb1 Pb 0.0000 0.0000 0.5000 1
```